# Ti6ZnNi
Calculated powder XRD pattern, copper Kα. Input: a cell relaxed with PBE.
Peak positions follow from Bragg's law for the DFT cell and can differ from measured ones.

Atomic structure:
```
Ti6ZnNi
1.0
3.978 0.000 0.000
0.000 3.978 0.000
0.000 0.000 7.971
Ti Zn Ni
6 1 1
Cartesian
0.000 0.000 0.000 Ti
0.000 0.000 3.985 Ti
0.000 1.989 1.942 Ti
0.000 1.989 6.028 Ti
1.989 0.000 1.942 Ti
1.989 0.000 6.028 Ti
1.989 1.989 3.985 Zn
1.989 1.989 0.000 Ni
```

Peak list (6 most intense, 2θ = 10–80°, in order of rising 2θ)
(hkl), two_theta, I (rel.)
0 0 2, 22.33, 3
1 1 2, 39.20, 100
2 0 0, 45.58, 47
2 2 0, 66.43, 27
1 1 6, 79.85, 10
3 1 2, 79.97, 21